# AgBrO3
Calculated PXRD pattern, Cu Kα (weighted mean of Kα1 and Kα2). Input: a structure optimized by DFT (PBE).

Structural model:
```
AgBrO3
1.0
5.761 0.000 0.000
-2.881 4.989 0.000
0.000 0.000 8.936
Ag Br O
3 3 9
Direct
0.000 0.000 0.000 Ag
0.333 0.667 0.667 Ag
0.667 0.333 0.333 Ag
0.000 0.000 0.549 Br
0.333 0.667 0.216 Br
0.667 0.333 0.883 Br
0.023 0.512 0.138 O
0.155 0.310 0.472 O
0.155 0.845 0.472 O
0.357 0.178 0.805 O
0.488 0.512 0.138 O
0.488 0.977 0.138 O
0.690 0.845 0.472 O
0.822 0.178 0.805 O
0.822 0.643 0.805 O
```

Principal peaks in the range 2θ from 15° to 90°, in order of falling intensity:
- d = 3.328 Å, I = 100, (0 1 2)
- d = 2.881 Å, I = 60, (1 1 0)
- d = 2.178 Å, I = 32, (2 0 2)
- d = 1.737 Å, I = 25, (1 2 2)
- d = 1.441 Å, I = 24, (2 2 0)
- d = 2.039 Å, I = 21, (1 0 4)
- d = 1.663 Å, I = 16, (3 0 0)
- d = 2.071 Å, I = 16, (1 1 3)